(1)
For Li4NbTe3O12, a crystal structure in Alexandria, relaxed with GGA-PBE gives the calculated powder diffraction line list in this record (a wavelength of 1.5418 Å).
Neutral-atom scattering factors, no anomalous dispersion.

Top 8 peaks for 2θ from 15° to 90°, low angle first:
d (Å)	I (rel.)
4.585	41
4.410	100
2.859	36
2.824	36
2.606	20
2.301	13
1.826	14
1.807	14

Structure:
Cell: 5.0679 8.9599 5.3373 Å, 90.00 91.19 90.00°
Space group P2 (No. 3)
Asymmetric unit:
Li (0.0000, 0.0000, 0.0000) [1 per cell]
Li (0.0000, 0.3509, 0.5000) [1 per cell]
Li (0.5000, 0.5074, 0.5000) [1 per cell]
Li (0.5000, 0.8868, 0.0000) [1 per cell]
Nb (0.5000, 0.0902, 0.5000) [1 per cell]
Te (0.0000, 0.5918, 0.0000) [1 per cell]
Te (0.0000, 0.7864, 0.5000) [1 per cell]
Te (0.5000, 0.2771, 0.0000) [1 per cell]
O (0.1999, 0.7743, 0.8191) [2 per cell]
O (0.2132, 0.6276, 0.3470) [2 per cell]
O (0.2348, 0.9339, 0.3549) [2 per cell]
O (0.2710, 0.4269, 0.8227) [2 per cell]
O (0.2895, 0.2520, 0.3244) [2 per cell]
O (0.3044, 0.0931, 0.8228) [2 per cell]

(2)
For Ce4Pa5, a crystal structure in Alexandria, relaxed with GGA-PBE gives the calculated powder diffraction line list in this record (a wavelength of 1.5418 Å).
Neutral-atom scattering factors, no anomalous dispersion.

Top 8 peaks for 2θ from 15° to 90°, low angle first:
d (Å)	I (rel.)
2.795	68
2.499	100
1.976	25
1.613	7
1.550	47
1.397	25
1.250	23
1.220	11

Structure:
Cell: 11.8584 11.8584 3.2262 Å, 90.00 90.00 90.00°
Space group I4/mmm (No. 139)
Asymmetric unit:
Ce (0.0000, 0.3267, 0.0000) [8 per cell]
Pa (0.0000, 0.0000, 0.0000) [2 per cell]
Pa (0.1671, 0.1671, 0.5000) [8 per cell]

(3)
For Er4Ni2Sb, a crystal structure in Alexandria, relaxed with GGA-PBE gives the calculated powder diffraction line list in this record (a wavelength of 1.5418 Å).
Neutral-atom scattering factors, no anomalous dispersion.

Top 8 peaks for 2θ from 15° to 90°, low angle first:
d (Å)	I (rel.)
3.078	34
2.823	27
2.807	100
2.703	72
2.380	38
2.368	35
2.347	21
1.698	26

Structure:
Cell: 12.5654 12.6418 8.5116 Å, 90.00 90.00 90.00°
Space group Fdd2 (No. 43)
Asymmetric unit:
Er (0.0570, 0.1170, 0.0000) [16 per cell]
Er (0.1185, 0.4440, 0.8383) [16 per cell]
Ni (0.0786, 0.1710, 0.2941) [16 per cell]
Sb (0.0000, 0.0000, 0.6689) [8 per cell]